No. 1
Diffraction record for MgCrSbO4. The X-ray diffraction stick pattern is theoretical, not measured: it uses the GGA+U geometry in the Materials Project and Cu Ka.
Intensities are scaled so that the largest is 100.

```
MgCrSbO4
1.0
-2.0251 2.2136 5.0050
2.0251 -2.2136 5.0050
2.0251 2.2136 -5.0050
Mg Cr Sb O
1 1 1 4
direct
0.0000 0.0000 0.0000 Mg
0.5658 0.5658 0.0000 Cr
0.2972 0.7972 0.5000 Sb
0.0653 0.5653 0.5000 O
0.3661 0.3661 0.0000 O
0.5355 0.0355 0.5000 O
0.7863 0.7863 0.0000 O
```

Principal peaks in the range 10 to 90 degrees two-theta, in order of rising 2θ:
2θ (°)	I_rel
21.95	75.8
23.70	100.0
33.63	37.2
34.97	63.3
35.88	40.1
40.76	39.0

=====

No. 2
Diffraction record for MgCr2Sb2O8. The X-ray diffraction stick pattern is theoretical, not measured: it uses the GGA+U geometry in the Materials Project and Cu Ka.
Intensities are scaled so that the largest is 100.

```
MgCr2Sb2O8
1.0
5.4298 -3.1687 0.0000
5.4298 3.1687 0.0000
-2.4099 0.0000 5.3464
Mg Cr Sb O
1 2 2 8
direct
0.0000 0.0000 0.0000 Mg
0.5000 0.5000 0.0000 Cr
0.5000 0.5000 0.5000 Cr
0.0000 0.5000 0.0000 Sb
0.5000 0.0000 0.0000 Sb
0.2061 0.2061 0.1805 O
0.2356 0.6831 0.2068 O
0.2923 0.2923 0.8068 O
0.3169 0.7644 0.7932 O
0.6831 0.2356 0.2068 O
0.7077 0.7077 0.1932 O
0.7644 0.3169 0.7932 O
0.7939 0.7939 0.8195 O
```

Principal peaks in the range 10 to 90 degrees two-theta, in order of rising 2θ:
2θ (°)	I_rel
16.59	100.0
18.77	31.0
33.56	30.9
34.06	25.4
36.30	24.4
42.22	37.6

=====

No. 3
Diffraction record for MgCrSbO4. The X-ray diffraction stick pattern is theoretical, not measured: it uses the GGA+U geometry in the Materials Project and Cu Ka.
Intensities are scaled so that the largest is 100.

```
MgCrSbO4
1.0
3.1836 0.0000 0.0000
0.0222 5.7457 0.0000
0.0022 1.7391 5.4904
Mg Cr Sb O
1 1 1 4
direct
0.0000 0.0000 0.0000 Mg
0.9993 0.4705 0.8485 Cr
0.4987 0.4102 0.3945 Sb
0.0005 0.2310 0.6504 O
0.4977 0.6274 0.6407 O
0.4987 0.2137 0.0395 O
0.9986 0.6497 0.1032 O
```

Principal peaks in the range 10 to 90 degrees two-theta, in order of rising 2θ:
2θ (°)	I_rel
16.18	100.0
31.76	27.3
32.51	48.5
38.70	15.2
38.81	30.6
55.96	18.9

=====

No. 4
Diffraction record for MgCrSbO4. The X-ray diffraction stick pattern is theoretical, not measured: it uses the GGA+U geometry in the Materials Project and Cu Ka.
Intensities are scaled so that the largest is 100.

```
MgCrSbO4
1.0
-2.1680 2.2691 4.4286
2.1680 -2.2691 4.4286
2.1680 2.2691 -4.4286
Mg Cr Sb O
1 1 1 4
direct
0.0000 0.0000 0.0000 Mg
0.7455 0.2455 0.5000 Cr
0.4788 0.4788 0.0000 Sb
0.2388 0.2388 0.0000 O
0.5204 0.0204 0.5000 O
0.7652 0.7652 0.0000 O
0.9721 0.4721 0.5000 O
```

Principal peaks in the range 10 to 90 degrees two-theta, in order of rising 2θ:
2θ (°)	I_rel
22.01	83.1
22.84	100.0
35.07	88.4
39.72	59.0
40.75	48.5
41.66	50.9

=====

No. 5
Diffraction record for MgCr2Sb2O8. The X-ray diffraction stick pattern is theoretical, not measured: it uses the GGA+U geometry in the Materials Project and Cu Ka.
Intensities are scaled so that the largest is 100.

```
MgCr2Sb2O8
1.0
5.2820 -3.0851 0.0000
5.2820 3.0851 0.0000
-3.8868 0.0000 5.5192
Mg Cr Sb O
1 2 2 8
direct
0.0000 0.0000 0.0000 Mg
0.0000 0.5000 0.0000 Cr
0.5000 0.0000 0.0000 Cr
0.5000 0.5000 0.0000 Sb
0.5000 0.5000 0.5000 Sb
0.2427 0.2427 0.1875 O
0.2524 0.7211 0.1993 O
0.2683 0.2683 0.8180 O
0.2789 0.7476 0.8007 O
0.7211 0.2524 0.1993 O
0.7317 0.7317 0.1820 O
0.7476 0.2789 0.8007 O
0.7573 0.7573 0.8125 O
```

Principal peaks in the range 10 to 90 degrees two-theta, in order of rising 2θ:
2θ (°)	I_rel
16.06	45.3
17.67	100.0
31.33	21.2
35.77	20.3
39.63	58.5
41.83	26.2

=====

No. 6
Diffraction record for MgSc2Cr2O8. The X-ray diffraction stick pattern is theoretical, not measured: it uses the GGA+U geometry in the Materials Project and Cu Ka.
Intensities are scaled so that the largest is 100.

```
MgSc2Cr2O8
1.0
4.6693 -3.2988 0.0000
4.6693 3.2988 0.0000
-4.1127 0.0000 5.0837
Mg Sc Cr O
1 2 2 8
direct
0.0000 0.0000 0.0000 Mg
0.5510 0.0290 0.4666 Sc
0.9710 0.4490 0.5334 Sc
0.0087 0.5485 0.1378 Cr
0.4515 0.9913 0.8622 Cr
0.2108 0.3087 0.3045 O
0.2172 0.7567 0.1925 O
0.2433 0.7829 0.8075 O
0.3127 0.1997 0.6866 O
0.6913 0.7892 0.6955 O
0.7168 0.1385 0.1980 O
0.8003 0.6873 0.3134 O
0.8615 0.2832 0.8020 O
```

Principal peaks in the range 10 to 90 degrees two-theta, in order of rising 2θ:
2θ (°)	I_rel
24.52	100.0
27.03	86.9
32.09	70.4
34.02	77.9
38.86	73.6
51.00	71.9

=====

No. 7
Diffraction record for MgSc2Cr2O8. The X-ray diffraction stick pattern is theoretical, not measured: it uses the GGA+U geometry in the Materials Project and Cu Ka.
Intensities are scaled so that the largest is 100.

```
MgSc2Cr2O8
1.0
4.4780 -2.8789 0.0000
4.4780 2.8789 0.0000
-0.5777 0.0000 6.3005
Mg Sc Cr O
1 2 2 8
direct
0.0000 0.0000 0.0000 Mg
0.5000 0.5000 0.0000 Sc
0.5000 0.5000 0.5000 Sc
0.1636 0.1636 0.6890 Cr
0.8364 0.8364 0.3110 Cr
0.2173 0.7366 0.2438 O
0.2634 0.7827 0.7562 O
0.2676 0.2676 0.9362 O
0.2693 0.2693 0.4781 O
0.7307 0.7307 0.5219 O
0.7324 0.7324 0.0638 O
0.7366 0.2173 0.2438 O
0.7827 0.2634 0.7562 O
```

Principal peaks in the range 10 to 90 degrees two-theta, in order of rising 2θ:
2θ (°)	I_rel
22.61	74.1
23.74	82.9
25.50	82.6
31.06	100.0
33.94	65.4
46.19	79.5

=====

No. 8
Diffraction record for MgSc2Cr2O8. The X-ray diffraction stick pattern is theoretical, not measured: it uses the GGA+U geometry in the Materials Project and Cu Ka.
Intensities are scaled so that the largest is 100.

```
MgSc2Cr2O8
1.0
6.4806 0.0000 0.0000
0.0000 2.8757 4.4582
0.0000 -2.8757 4.4582
Mg Sc Cr O
1 2 2 8
direct
0.0000 0.0000 0.0000 Mg
0.2561 0.3440 0.3440 Sc
0.7439 0.3440 0.3440 Sc
0.0000 0.6839 0.6839 Cr
0.5000 0.9855 0.9855 Cr
0.0000 0.0718 0.5869 O
0.0000 0.5869 0.0718 O
0.2132 0.5695 0.5695 O
0.2715 0.1031 0.1031 O
0.5000 0.1257 0.6102 O
0.5000 0.6102 0.1257 O
0.7285 0.1031 0.1031 O
0.7868 0.5695 0.5695 O
```

Principal peaks in the range 10 to 90 degrees two-theta, in order of rising 2θ:
2θ (°)	I_rel
22.95	57.8
24.23	35.8
31.10	50.2
33.29	100.0
33.95	60.5
59.75	43.8